Structure and calculated XRD peak list of Na2MnCdFeP3O12 (a crystal structure in the Materials Project, relaxed with GGA+U; a wavelength of 1.5418 Å).

Structural model:
abc: 8.915 8.915 9.365
angles: 119.81 119.81 86.02
Fractional coordinates of all 40 atoms:
Na (0.000, 0.000, 0.000)
Na (0.128, 0.428, 0.080)
Na (0.572, 0.872, 0.920)
Na (0.813, 0.187, 0.500)
Mn (0.130, 0.336, 0.450)
Mn (0.664, 0.870, 0.550)
Cd (0.452, 0.548, 0.000)
Cd (0.536, 0.464, 0.500)
Fe (0.217, 0.123, 0.720)
Fe (0.877, 0.783, 0.280)
P (0.278, 0.722, 0.500)
P (0.368, 0.015, 0.307)
P (0.521, 0.266, 0.176)
P (0.734, 0.479, 0.824)
P (0.750, 0.250, 0.000)
P (0.985, 0.632, 0.693)
O (0.088, 0.679, 0.326)
O (0.170, 0.740, 0.825)
O (0.260, 0.830, 0.175)
O (0.264, 0.331, 0.723)
O (0.289, 0.167, 0.295)
O (0.297, 0.578, 0.555)
O (0.321, 0.912, 0.674)
O (0.330, 0.249, 0.010)
O (0.422, 0.703, 0.445)
O (0.554, 0.065, 0.477)
O (0.557, 0.092, 0.168)
O (0.649, 0.324, 0.117)
O (0.669, 0.736, 0.277)
O (0.676, 0.351, 0.883)
O (0.684, 0.051, 0.857)
O (0.751, 0.670, 0.990)
O (0.833, 0.711, 0.705)
O (0.908, 0.443, 0.832)
O (0.921, 0.035, 0.746)
O (0.935, 0.446, 0.523)
O (0.949, 0.316, 0.143)
O (0.965, 0.079, 0.254)
O (0.983, 0.017, 0.377)
O (0.983, 0.017, 0.623)

Principal peaks in the range 2θ from 15° to 90°, sorted by position:
2θ/deg  I (rel.)
18.98  48
19.97  63
21.97  67
27.37  100
29.88  46
30.13  59
32.50  87
35.21  52
35.68  47
36.35  43

Structure and calculated XRD peak list of La4CoO8 (a crystal structure in the Materials Project, relaxed with GGA+U; a wavelength of 1.5418 Å).

Structural model:
abc: 6.920 6.920 5.349
angles: 90.00 90.00 134.88
Fractional coordinates of all 13 atoms:
La (0.134, 0.866, 0.000)
La (0.365, 0.635, 0.500)
La (0.635, 0.365, 0.500)
La (0.866, 0.134, 0.000)
Co (0.500, 0.500, 0.000)
O (0.188, 0.812, 0.500)
O (0.252, 0.252, 0.238)
O (0.252, 0.252, 0.762)
O (0.338, 0.662, 0.000)
O (0.662, 0.338, 0.000)
O (0.748, 0.748, 0.238)
O (0.748, 0.748, 0.762)
O (0.812, 0.188, 0.500)

Principal peaks in the range 2θ from 15° to 90°, sorted by position:
2θ/deg  I (rel.)
24.63  70
27.92  31
31.70  100
33.51  41
33.76  40
42.75  29
44.16  31
44.36  30
48.30  41
55.96  19

Structure and calculated XRD peak list of SrSmCo4O12 (a crystal structure in the Materials Project, relaxed with GGA+U; a wavelength of 1.5418 Å).

Structural model:
abc: 5.324 5.324 7.534
angles: 90.00 90.00 90.00
Fractional coordinates of all 18 atoms:
Sr (0.000, 0.000, 0.000)
Sm (0.500, 0.500, 0.500)
Co (0.000, 0.500, 0.246)
Co (0.000, 0.500, 0.754)
Co (0.500, 0.000, 0.246)
Co (0.500, 0.000, 0.754)
O (0.000, 0.500, 0.000)
O (0.000, 0.500, 0.500)
O (0.257, 0.257, 0.258)
O (0.257, 0.257, 0.742)
O (0.257, 0.743, 0.258)
O (0.257, 0.743, 0.742)
O (0.500, 0.000, 0.000)
O (0.500, 0.000, 0.500)
O (0.743, 0.257, 0.258)
O (0.743, 0.257, 0.742)
O (0.743, 0.743, 0.258)
O (0.743, 0.743, 0.742)

Principal peaks in the range 2θ from 15° to 90°, sorted by position:
2θ/deg  I (rel.)
20.43  75
33.66  100
39.70  41
48.35  44
53.00  18
60.20  38
64.27  13
70.78  24
74.55  13
80.70  16

Structure and calculated XRD peak list of CaFe2BiO6 (a crystal structure in the Materials Project, relaxed with GGA+U; a wavelength of 1.5418 Å).

Structural model:
abc: 5.435 5.435 5.435
angles: 119.69 119.69 90.53
Fractional coordinates of all 10 atoms:
Ca (0.000, 0.000, 0.000)
Fe (0.263, 0.763, 0.500)
Fe (0.763, 0.263, 0.500)
Bi (0.470, 0.470, 0.000)
O (0.020, 0.520, 0.500)
O (0.040, 0.040, 0.518)
O (0.040, 0.522, 0.000)
O (0.520, 0.020, 0.500)
O (0.522, 0.040, 0.000)
O (0.522, 0.522, 0.482)

Principal peaks in the range 2θ from 15° to 90°, sorted by position:
2θ/deg  I (rel.)
19.98  86
32.80  53
32.96  100
38.71  33
38.98  17
40.60  25
47.08  36
58.66  39
58.96  18
78.35  17

Structure and calculated XRD peak list of Na3LiMo2O14 (a crystal structure in the Materials Project, relaxed with GGA+U; a wavelength of 1.5418 Å).

Structural model:
abc: 8.229 8.229 11.183
angles: 111.55 111.55 60.68
Fractional coordinates of all 40 atoms:
Na (0.018, 0.982, 0.500)
Na (0.294, 0.475, 0.998)
Na (0.475, 0.294, 0.498)
Na (0.519, 0.795, 0.998)
Na (0.795, 0.519, 0.498)
Na (0.982, 0.018, 0.000)
Li (0.013, 0.512, 0.244)
Li (0.512, 0.013, 0.744)
Mo (0.166, 0.670, 0.713)
Mo (0.393, 0.891, 0.383)
Mo (0.670, 0.166, 0.213)
Mo (0.891, 0.393, 0.883)
O (0.027, 0.331, 0.340)
O (0.052, 0.284, 0.604)
O (0.079, 0.777, 0.108)
O (0.103, 0.328, 0.831)
O (0.192, 0.824, 0.331)
O (0.228, 0.726, 0.891)
O (0.244, 0.789, 0.652)
O (0.270, 0.535, 0.347)
O (0.278, 0.415, 0.647)
O (0.284, 0.052, 0.104)
O (0.328, 0.103, 0.331)
O (0.331, 0.027, 0.840)
O (0.415, 0.278, 0.147)
O (0.450, 0.950, 0.555)
O (0.535, 0.270, 0.847)
O (0.541, 0.580, 0.108)
O (0.580, 0.541, 0.608)
O (0.607, 0.693, 0.332)
O (0.693, 0.607, 0.832)
O (0.726, 0.228, 0.391)
O (0.748, 0.910, 0.152)
O (0.771, 0.838, 0.844)
O (0.777, 0.079, 0.608)
O (0.789, 0.244, 0.152)
O (0.824, 0.192, 0.831)
O (0.838, 0.771, 0.344)
O (0.910, 0.748, 0.652)
O (0.950, 0.450, 0.055)

Principal peaks in the range 2θ from 15° to 90°, sorted by position:
2θ/deg  I (rel.)
17.04  100
21.38  21
21.60  40
26.56  31
27.49  41
27.77  29
27.95  17
32.03  18
35.35  32
37.61  18

Structure and calculated XRD peak list of Ca2MnGaO5 (a crystal structure in the Materials Project, relaxed with GGA+U; a wavelength of 1.5418 Å).

Structural model:
abc: 5.395 15.027 5.635
angles: 90.00 90.00 90.00
Fractional coordinates of all 36 atoms:
Ca (0.013, 0.109, 0.027)
Ca (0.013, 0.391, 0.027)
Ca (0.487, 0.609, 0.527)
Ca (0.487, 0.891, 0.527)
Ca (0.513, 0.109, 0.473)
Ca (0.513, 0.391, 0.473)
Ca (0.987, 0.609, 0.973)
Ca (0.987, 0.891, 0.973)
Mn (0.000, 0.000, 0.500)
Mn (0.000, 0.500, 0.500)
Mn (0.500, 0.000, 0.000)
Mn (0.500, 0.500, 0.000)
Ga (0.047, 0.250, 0.568)
Ga (0.453, 0.750, 0.068)
Ga (0.547, 0.250, 0.932)
Ga (0.953, 0.750, 0.432)
O (0.030, 0.643, 0.571)
O (0.030, 0.857, 0.571)
O (0.099, 0.750, 0.122)
O (0.244, 0.514, 0.243)
O (0.244, 0.986, 0.243)
O (0.256, 0.014, 0.743)
O (0.256, 0.486, 0.743)
O (0.401, 0.250, 0.622)
O (0.470, 0.143, 0.071)
O (0.470, 0.357, 0.071)
O (0.530, 0.643, 0.929)
O (0.530, 0.857, 0.929)
O (0.599, 0.750, 0.378)
O (0.744, 0.514, 0.257)
O (0.744, 0.986, 0.257)
O (0.756, 0.014, 0.757)
O (0.756, 0.486, 0.757)
O (0.901, 0.250, 0.878)
O (0.970, 0.143, 0.429)
O (0.970, 0.357, 0.429)

Principal peaks in the range 2θ from 15° to 90°, sorted by position:
2θ/deg  I (rel.)
22.82  12
23.66  10
23.77  9
31.76  23
33.15  100
46.62  25
48.46  14
57.45  11
59.29  11
69.51  10